1.
Li3MnCoO5: computed powder XRD pattern (Cu Kα (λ = 1.5418 Å)), based on a GGA+U-relaxed structure.

The 10 most intense peaks (2θ = 10–90°), low angle first:
index  d/Å  two_theta  I/Imax
0 0 1  7.988  11.1  14
0 1 0  7.404  12.0  14
0 1 1  4.825  18.4  100
1 1 -1  2.525  35.6  13
0 2 -3  2.502  35.9  13
1 -2 1  2.450  36.7  12
1 2 0  2.115  42.8  31
0 1 -4  2.072  43.7  29
1 -3 0  2.035  44.5  28
0 5 0  1.481  62.7  15

Crystal structure
```
Li3MnCoO5
1.0
2.9064 0.0000 0.0000
-1.1589 7.6834 0.0000
-0.0366 -2.2161 7.9879
Li Mn Co O
6 2 2 10
direct
0.0000 0.0000 0.0000
0.0000 0.0000 0.5000
0.1627 0.3844 0.0954
0.4028 0.8020 0.7190
0.5972 0.1980 0.2810
0.8373 0.6156 0.9046
0.4167 0.8052 0.1908
0.5833 0.1948 0.8092
0.1881 0.3975 0.5987
0.8119 0.6025 0.4013
0.0109 0.0206 0.7535
0.1571 0.3747 0.8403
0.1949 0.4126 0.3557
0.4109 0.7970 0.9686
0.4205 0.7875 0.4356
0.5795 0.2125 0.5644
0.5891 0.2030 0.0314
0.8051 0.5874 0.6443
0.8429 0.6253 0.1597
0.9891 0.9794 0.2465
```

2.
Li7Mn4CoO12: computed powder XRD pattern (Cu Kα (λ = 1.5418 Å)), based on a GGA+U-relaxed structure.

The 10 most intense peaks (2θ = 10–90°), low angle first:
index  d/Å  two_theta  I/Imax
1 0 0  4.820  18.4  100
0 2 -1  2.541  35.3  15
0 2 2  2.503  35.9  13
1 0 3  2.480  36.2  13
1 2 -1  2.109  42.9  31
-1 2 2  2.075  43.6  30
2 0 3  2.063  43.9  29
2 2 2  1.915  47.5  9
0 4 1  1.486  62.5  8
2 0 -3  1.472  63.2  15

Crystal structure
```
Li7Mn4CoO12
1.0
5.0980 0.0000 0.0000
0.0240 5.9453 0.0000
2.4647 1.3653 7.1464
Li Mn Co O
7 4 1 12
direct
0.0000 0.0000 0.0000
0.0001 0.3162 0.6707
0.4874 0.0798 0.6688
0.9717 0.1508 0.3456
0.9766 0.6615 0.3432
0.9795 0.8451 0.6705
0.9939 0.4992 0.0019
0.4813 0.4050 0.3432
0.4860 0.7499 0.0018
0.4906 0.2412 0.0048
0.4916 0.5840 0.6692
0.4788 0.9113 0.3463
0.2430 0.9289 0.1615
0.2468 0.1409 0.4874
0.2564 0.5958 0.5111
0.2655 0.7746 0.8365
0.2708 0.4596 0.1629
0.2716 0.3061 0.8387
0.6985 0.6834 0.1738
0.7082 0.3850 0.5024
0.7162 0.2192 0.1749
0.7174 0.0237 0.8637
0.7172 0.8489 0.5125
0.7194 0.5633 0.8320
```

3.
Li3MnCoO5: computed powder XRD pattern (Cu Kα (λ = 1.5418 Å)), based on a GGA+U-relaxed structure.

The 10 most intense peaks (2θ = 10–90°), low angle first:
index  d/Å  two_theta  I/Imax
0 0 1  7.072  12.5  9
0 1 -1  4.839  18.3  100
1 0 0  4.704  18.9  11
-1 1 2  2.517  35.7  14
1 0 2  2.504  35.9  13
2 0 -1  2.450  36.7  12
-1 2 1  2.097  43.1  31
1 -1 3  2.079  43.5  30
2 1 -2  2.047  44.3  28
2 -3 2  1.471  63.2  16

Crystal structure
```
Li3MnCoO5
1.0
4.9762 0.0000 0.0000
-0.8625 5.0741 0.0000
-1.6484 -2.8454 7.0716
Li Mn Co O
6 2 2 10
direct
0.0000 0.0000 0.0000
0.1032 0.2008 0.7117
0.2911 0.5860 0.0909
0.5000 0.0000 0.5000
0.7089 0.4140 0.9091
0.8968 0.7992 0.2883
0.1987 0.3986 0.3977
0.8013 0.6014 0.6023
0.4069 0.8119 0.8131
0.5931 0.1881 0.1869
0.0456 0.6005 0.8281
0.1328 0.7676 0.5464
0.2644 0.0424 0.2637
0.3709 0.1921 0.9489
0.4567 0.4124 0.6348
0.5433 0.5876 0.3652
0.6291 0.8079 0.0511
0.7356 0.9576 0.7363
0.8672 0.2324 0.4536
0.9544 0.3995 0.1719
```

4.
Li7Mn4CoO12: computed powder XRD pattern (Cu Kα (λ = 1.5418 Å)), based on a GGA+U-relaxed structure.

The 10 most intense peaks (2θ = 10–90°), low angle first:
index  d/Å  two_theta  I/Imax
1 0 1  4.827  18.4  100
1 1 0  4.085  21.8  7
1 2 0  2.592  34.6  16
1 0 -2  2.471  36.4  24
2 2 1  2.165  41.7  33
2 -2 0  2.046  44.3  56
0 4 1  1.491  62.3  8
2 2 -2  1.488  62.4  16
4 0 1  1.482  62.7  8
-2 2 3  1.436  64.9  10

Crystal structure
```
Li7Mn4CoO12
1.0
5.9371 0.0000 0.0000
0.3420 5.9639 0.0000
1.6312 1.4166 6.1445
Li Mn Co O
7 4 1 12
direct
0.0000 0.0000 0.0000
0.0003 0.4898 0.0073
0.1657 0.1625 0.3351
0.3293 0.8398 0.6522
0.3308 0.3237 0.6600
0.6643 0.6616 0.3348
0.6665 0.1598 0.3347
0.1639 0.6634 0.3314
0.4945 0.9941 0.9965
0.4957 0.4907 0.9989
0.8390 0.3289 0.6638
0.8415 0.8383 0.6571
0.0624 0.0845 0.6743
0.0859 0.6080 0.6435
0.2453 0.7198 0.0147
0.2852 0.2581 0.9939
0.3974 0.8949 0.3106
0.4116 0.4307 0.3133
0.5881 0.0585 0.6738
0.5910 0.5647 0.6834
0.7210 0.7364 0.9808
0.7453 0.2664 0.9934
0.9202 0.8971 0.3428
0.9345 0.4330 0.3476
```